Starting from a DFT-relaxed cell (PBE, Alexandria), the XRD peak list of Cs3NpI6 was computed for CuKα.
No peak broadening, texture or thermal motion is included.

Principal peaks in the range 5 to 70 degrees two-theta, low angle first:
h k l, Position (°2θ), I_rel
0 0 2, 10.9, 204
1 1 1, 11.6, 389
2 0 2, 19.3, 1000
0 2 4, 25.5, 276
0 4 0, 26.1, 522
2 0 4, 27.1, 312
2 2 4, 30.2, 509
2 4 2, 32.7, 493
2 4 4, 38.0, 231
0 0 8, 44.5, 235
2 4 6, 45.7, 206
6 4 2, 57.7, 208

Cell and atoms:
Cell: 11.1460 13.6325 16.2872 Å, 90.00 90.00 90.00°
Space group Fmmm (No. 69)
One atom of each set of equivalent atoms:
Cs: 0.0000 0.0000 0.0000 x4
Cs: 0.2500 0.2500 0.2500 x8
Np: 0.0000 0.0000 0.5000 x4
I: 0.0000 0.2282 0.5000 x8
I: 0.2041 0.0000 0.3684 x16